# 1
LiP4WO12: theoretical powder diffractogram (Cu Kα, 1.54184 Å), based on a cell relaxed with PBE+U.
Intensities are scaled so that the largest is 100.

Largest 10 diffraction maxima, by angle, 2θ = 10–90°:
15.44°, rel. 100, hkl 1 1 -1
15.76°, rel. 72, hkl 0 2 1
17.76°, rel. 46, hkl 1 1 1
22.57°, rel. 25, hkl 0 2 2
24.83°, rel. 28, hkl 1 1 2
27.29°, rel. 22, hkl 0 4 1
27.82°, rel. 29, hkl 2 2 0
28.17°, rel. 55, hkl 1 3 -2
30.69°, rel. 25, hkl 2 2 1
30.86°, rel. 20, hkl 1 3 2

Structure:
```
data_LiP4WO12
_symmetry_space_group_name_H-M 'C 1 2/c 1'
_symmetry_Int_Tables_number 15
_cell_length_a 7.335
_cell_length_b 13.906
_cell_length_c 9.703
_cell_angle_alpha 90.00
_cell_angle_beta 99.68
_cell_angle_gamma 90.00
loop_
_symmetry_equiv_pos_as_xyz
'x,y,z'
'-x,-y,-z'
'-x,y,-z+1/2'
'x,-y,z+1/2'
'x+1/2,y+1/2,z'
'-x+1/2,-y+1/2,-z'
'-x+1/2,y+1/2,-z+1/2'
'x+1/2,-y+1/2,z+1/2'
loop_
_atom_site_label
_atom_site_fract_x
_atom_site_fract_y
_atom_site_fract_z
Li1 0.000 0.039 0.250
P1 0.084 0.350 0.012
P2 0.245 0.458 0.458
W1 0.000 0.182 0.750
O1 0.036 0.287 0.593
O2 0.052 0.406 0.402
O3 0.123 0.064 0.643
O4 0.182 0.430 0.927
O5 0.195 0.062 0.392
O6 0.226 0.306 0.124
```

=====

# 2
LiP3W2O12: theoretical powder diffractogram (Cu Kα, 1.54184 Å), based on a cell relaxed with PBE+U.
Intensities are scaled so that the largest is 100.

Largest 10 diffraction maxima, by angle, 2θ = 10–90°:
14.13°, rel. 10, hkl 0 1 2
20.04°, rel. 100, hkl 1 0 4
23.55°, rel. 12, hkl 1 1 3
28.49°, rel. 26, hkl 0 2 4
31.90°, rel. 19, hkl 1 1 6
35.11°, rel. 39, hkl 3 0 0
45.79°, rel. 21, hkl 1 3 4
54.84°, rel. 14, hkl 3 2 4
54.90°, rel. 11, hkl 4 1 0
60.96°, rel. 10, hkl 1 3 10

Structure:
```
data_LiP3W2O12
_symmetry_space_group_name_H-M 'R -3 c'
_symmetry_Int_Tables_number 167
_symmetry_space_group_name_Hall '-R 3 2"c'
_cell_length_a 8.8491
_cell_length_b 8.8491
_cell_length_c 21.7755
_cell_angle_alpha 90.00
_cell_angle_beta 90.00
_cell_angle_gamma 120.00
loop_
_atom_site_label
_atom_site_fract_x
_atom_site_fract_y
_atom_site_fract_z
Li1 0.0000 0.0000 0.0000
P1 0.0000 0.2909 0.2500
W1 0.0000 0.0000 0.1413
O1 0.0049 0.1971 0.1916
O2 0.0219 0.1909 0.9193
```